MgZr2Hg6: computed powder X-ray diffraction pattern (Cu Kα (λ = 1.5418 Å)), based on a structure optimized by DFT (PBE).

Largest 10 diffraction maxima, most intense first, 10 to 80 degrees two-theta:
d [Å]	intensity
2.392	100.0
2.553	56.2
2.406	42.8
2.955	40.4
2.059	37.4
2.986	32.0
4.061	31.9
2.470	26.2
2.479	25.9
4.323	23.7

Structure:
```
MgZr2Hg6
1.0
7.660 -4.061 0.000
7.660 4.061 0.000
-0.012 0.000 3.243
Mg Zr Hg
1 2 6
direct
0.000 0.000 0.000
0.308 0.308 0.500
0.692 0.692 0.500
0.024 0.659 0.002
0.325 0.675 0.500
0.341 0.976 0.998
0.659 0.024 0.002
0.675 0.325 0.500
0.976 0.341 0.998
```